Starting from DFT lattice parameters and positions (GGA-PBE), the X-ray diffraction stick pattern of Sm2GeBr3 was simulated for Cu Kα, 1.54184 Å.
No peak broadening, texture or thermal motion is included.

Principal peaks in the range 5 to 70 degrees two-theta, in order of rising 2θ:
2theta	d_spacing	I (rel.)
8.74	10.112	53
9.37	9.441	50
13.72	6.455	98
25.20	3.534	100
25.91	3.439	54
31.66	2.826	51
35.36	2.538	58
40.61	2.221	54
42.52	2.126	52
43.40	2.085	63

```
Sm2GeBr3
1.0
9.539 -2.085 0.000
9.539 2.085 0.000
-8.077 0.000 10.112
Sm Ge Br
4 2 6
direct
0.113 0.113 0.442
0.372 0.372 0.181
0.628 0.628 0.819
0.887 0.887 0.558
0.061 0.061 0.621
0.939 0.939 0.379
0.174 0.174 0.024
0.256 0.256 0.384
0.454 0.454 0.768
0.546 0.546 0.232
0.744 0.744 0.616
0.826 0.826 0.976
```